# 1
Starting from DFT lattice parameters and positions (GGA-PBE), the powder XRD pattern of Ti8Zn3Pt2 was calculated for Cu Kα (weighted mean of Kα1 and Kα2).

Crystal structure
abc: 8.611 12.362 4.350
angles: 90.00 90.00 90.00
Space group Cmmm (No. 65)
Symmetry-distinct sites (fractional):
Ti 0.000 0.116 0.000 (multiplicity 4)
Ti 0.000 0.360 0.000 (multiplicity 4)
Ti 0.236 0.126 0.500 (multiplicity 8)
Zn 0.000 0.500 0.500 (multiplicity 2)
Zn 0.236 0.500 0.000 (multiplicity 4)
Pt 0.000 0.252 0.500 (multiplicity 4)

The 10 most intense peaks (2θ = 10–80°), in order of rising 2θ:
20.4 deg, intensity 13, hkl 0 0 1
20.6 deg, intensity 13, hkl 2 0 0
25.0 deg, intensity 33, hkl 0 2 1
25.2 deg, intensity 34, hkl 2 2 0
41.5 deg, intensity 100, hkl 0 0 2
42.0 deg, intensity 19, hkl 4 0 0
49.2 deg, intensity 11, hkl 2 2 2
60.5 deg, intensity 12, hkl 4 0 2
75.8 deg, intensity 18, hkl 2 4 3
76.4 deg, intensity 11, hkl 6 4 1

***

# 2
Starting from DFT lattice parameters and positions (GGA-PBE), the powder XRD pattern of Ti5ZnPt8 was calculated for Cu Kα (weighted mean of Kα1 and Kα2).

Crystal structure
abc: 7.850 7.850 7.523
angles: 90.00 90.00 90.00
Space group I-4 (No. 82)
Symmetry-distinct sites (fractional):
Ti 0.000 0.000 0.000 (multiplicity 2)
Ti 0.123 0.202 0.392 (multiplicity 8)
Zn 0.000 0.500 0.750 (multiplicity 2)
Pt 0.066 0.337 0.078 (multiplicity 8)
Pt 0.109 0.177 0.736 (multiplicity 8)

The 10 most intense peaks (2θ = 10–80°), in order of rising 2θ:
28.0 deg, intensity 100, hkl 2 1 1
28.7 deg, intensity 25, hkl 1 1 2
36.2 deg, intensity 58, hkl 3 1 0
36.4 deg, intensity 54, hkl 3 0 1
37.7 deg, intensity 57, hkl 1 0 3
43.3 deg, intensity 54, hkl 2 3 1
43.7 deg, intensity 71, hkl 3 1 2
44.4 deg, intensity 64, hkl 1 2 3
58.0 deg, intensity 35, hkl 2 4 2
75.4 deg, intensity 24, hkl 5 2 3

***

# 3
Starting from DFT lattice parameters and positions (GGA-PBE), the powder XRD pattern of Zr4TiPt was calculated for Cu Kα (weighted mean of Kα1 and Kα2).

Crystal structure
abc: 10.007 10.007 5.804
angles: 90.00 90.00 90.00
Space group I4_1md (No. 109)
Symmetry-distinct sites (fractional):
Zr 0.000 0.250 0.000 (multiplicity 8)
Zr 0.000 0.250 0.500 (multiplicity 8)
Ti 0.000 0.000 0.376 (multiplicity 4)
Pt 0.000 0.000 0.875 (multiplicity 4)

The 10 most intense peaks (2θ = 10–80°), in order of rising 2θ:
17.7 deg, intensity 100, hkl 2 0 0
25.1 deg, intensity 33, hkl 2 2 0
33.4 deg, intensity 31, hkl 1 1 2
35.8 deg, intensity 72, hkl 2 0 2
35.9 deg, intensity 84, hkl 4 0 0
40.3 deg, intensity 25, hkl 4 2 0
42.3 deg, intensity 32, hkl 3 1 2
51.6 deg, intensity 75, hkl 4 4 0
70.1 deg, intensity 23, hkl 2 2 4
76.0 deg, intensity 14, hkl 6 4 2

***

# 4
Starting from DFT lattice parameters and positions (GGA-PBE), the powder XRD pattern of Tl3Pt was calculated for Cu Kα (weighted mean of Kα1 and Kα2).

Crystal structure
abc: 6.3130 6.3130 6.7759
angles: 90.00 90.00 120.00
Space group P6_322 (No. 182)
Symmetry-distinct sites (fractional):
Tl 0.0000 0.3029 0.0000 (multiplicity 6)
Pt 0.3333 0.6667 0.2500 (multiplicity 2)

The 10 most intense peaks (2θ = 10–80°), in order of rising 2θ:
20.9 deg, intensity 30, hkl 1 0 1
26.3 deg, intensity 17, hkl 0 0 2
31.1 deg, intensity 11, hkl 1 0 2
31.3 deg, intensity 100, hkl 1 1 1
39.0 deg, intensity 51, hkl 1 1 2
45.9 deg, intensity 16, hkl 2 1 1
49.6 deg, intensity 28, hkl 1 1 3
50.1 deg, intensity 29, hkl 3 0 0
60.2 deg, intensity 12, hkl 2 2 1
76.8 deg, intensity 17, hkl 3 0 4

***

# 5
Starting from DFT lattice parameters and positions (GGA-PBE), the powder XRD pattern of Tl5Pt was calculated for Cu Kα (weighted mean of Kα1 and Kα2).

Crystal structure
abc: 12.375 3.501 8.704
angles: 90.00 115.87 90.00
Space group C2/m (No. 12)
Symmetry-distinct sites (fractional):
Tl 0.000 0.000 0.000 (multiplicity 2)
Tl 0.128 0.500 0.367 (multiplicity 4)
Tl 0.173 0.500 0.788 (multiplicity 4)
Pt 0.000 0.000 0.500 (multiplicity 2)

The 10 most intense peaks (2θ = 10–80°), in order of rising 2θ:
29.0 deg, intensity 22, hkl 4 0 -1
30.2 deg, intensity 34, hkl 4 0 -2
30.8 deg, intensity 22, hkl 2 0 -3
32.9 deg, intensity 100, hkl 1 1 -2
33.2 deg, intensity 60, hkl 2 0 2
35.2 deg, intensity 92, hkl 3 1 0
48.1 deg, intensity 23, hkl 5 1 -3
52.3 deg, intensity 18, hkl 0 2 0
62.2 deg, intensity 17, hkl 5 1 2
63.3 deg, intensity 19, hkl 2 2 2

***

# 6
Starting from DFT lattice parameters and positions (GGA-PBE), the powder XRD pattern of Tl2Pt was calculated for Cu Kα (weighted mean of Kα1 and Kα2).

Crystal structure
abc: 10.160 3.436 8.590
angles: 90.00 96.79 90.00
Space group Cm (No. 8)
Symmetry-distinct sites (fractional):
Tl 0.000 0.000 0.000 (multiplicity 2)
Tl 0.050 0.000 0.482 (multiplicity 2)
Tl 0.266 0.500 0.268 (multiplicity 2)
Tl 0.341 0.000 0.682 (multiplicity 2)
Pt 0.127 0.500 0.768 (multiplicity 2)
Pt 0.274 0.000 0.999 (multiplicity 2)

The 10 most intense peaks (2θ = 10–80°), in order of rising 2θ:
10.4 deg, intensity 33, hkl 0 0 1
29.0 deg, intensity 49, hkl 2 0 2
29.8 deg, intensity 27, hkl 1 1 1
34.0 deg, intensity 100, hkl 1 1 -2
35.3 deg, intensity 28, hkl 1 1 2
35.9 deg, intensity 26, hkl 4 0 -1
37.4 deg, intensity 43, hkl 3 1 0
38.1 deg, intensity 27, hkl 2 0 3
39.8 deg, intensity 47, hkl 3 1 1
42.4 deg, intensity 27, hkl 0 0 4

***

# 7
Starting from DFT lattice parameters and positions (GGA-PBE), the powder XRD pattern of TlPt4 was calculated for Cu Kα (weighted mean of Kα1 and Kα2).

Crystal structure
abc: 4.285 5.697 14.078
angles: 90.00 90.00 90.00
Space group Imma (No. 74)
Symmetry-distinct sites (fractional):
Tl 0.000 0.250 0.105 (multiplicity 4)
Pt 0.000 0.000 0.500 (multiplicity 4)
Pt 0.000 0.012 0.694 (multiplicity 8)
Pt 0.000 0.250 0.896 (multiplicity 4)

The 10 most intense peaks (2θ = 10–80°), in order of rising 2θ:
38.2 deg, intensity 100, hkl 1 0 5
38.5 deg, intensity 86, hkl 1 2 1
40.7 deg, intensity 32, hkl 0 2 4
42.2 deg, intensity 39, hkl 2 0 0
42.7 deg, intensity 14, hkl 1 2 3
50.4 deg, intensity 25, hkl 0 2 6
60.1 deg, intensity 21, hkl 2 2 4
67.7 deg, intensity 18, hkl 2 2 6
74.5 deg, intensity 15, hkl 3 0 5
78.5 deg, intensity 25, hkl 1 4 5

***

# 8
Starting from DFT lattice parameters and positions (GGA-PBE), the powder XRD pattern of Tl2Pt was calculated for Cu Kα (weighted mean of Kα1 and Kα2).

Crystal structure
abc: 7.009 7.009 5.680
angles: 90.00 90.00 90.00
Space group I4/mcm (No. 140)
Symmetry-distinct sites (fractional):
Tl 0.160 0.340 0.000 (multiplicity 8)
Pt 0.000 0.000 0.250 (multiplicity 4)

The 10 most intense peaks (2θ = 10–80°), in order of rising 2θ:
32.6 deg, intensity 100, hkl 2 1 1
36.3 deg, intensity 14, hkl 2 2 0
36.5 deg, intensity 37, hkl 1 1 2
40.7 deg, intensity 48, hkl 3 1 0
40.9 deg, intensity 39, hkl 2 0 2
56.5 deg, intensity 16, hkl 4 1 1
56.8 deg, intensity 21, hkl 2 1 3
62.3 deg, intensity 17, hkl 4 0 2
65.3 deg, intensity 26, hkl 3 3 2
74.8 deg, intensity 12, hkl 5 2 1

***

# 9
Starting from DFT lattice parameters and positions (GGA-PBE), the powder XRD pattern of Tl3Pt was calculated for Cu Kα (weighted mean of Kα1 and Kα2).

Crystal structure
abc: 11.827 11.827 5.760
angles: 90.00 90.00 90.00
Space group P4_2/n (No. 86, origin choice 2)
Symmetry-distinct sites (fractional):
Tl 0.024 0.573 0.250 (multiplicity 8)
Tl 0.114 0.222 0.020 (multiplicity 8)
Tl 0.140 0.670 0.740 (multiplicity 8)
Pt 0.035 0.207 0.518 (multiplicity 8)

The 10 most intense peaks (2θ = 10–80°), in order of rising 2θ:
31.4 deg, intensity 100, hkl 2 3 1
32.1 deg, intensity 35, hkl 3 3 0
32.9 deg, intensity 70, hkl 1 1 2
33.9 deg, intensity 53, hkl 2 4 0
34.9 deg, intensity 76, hkl 4 1 1
37.9 deg, intensity 46, hkl 2 2 2
38.8 deg, intensity 41, hkl 5 1 0
39.5 deg, intensity 50, hkl 1 3 2
55.4 deg, intensity 33, hkl 2 3 3
64.4 deg, intensity 33, hkl 1 7 2

***

# 10
Starting from DFT lattice parameters and positions (GGA-PBE), the powder XRD pattern of Tm6Tl3Pt was calculated for Cu Kα (weighted mean of Kα1 and Kα2).

Crystal structure
abc: 8.923 11.719 5.122
angles: 90.00 90.00 90.00
Space group Pnnm (No. 58)
Symmetry-distinct sites (fractional):
Tm 0.013 0.238 0.000 (multiplicity 4)
Tm 0.156 0.082 0.500 (multiplicity 4)
Tm 0.188 0.411 0.500 (multiplicity 4)
Tl 0.000 0.500 0.000 (multiplicity 2)
Tl 0.154 0.731 0.500 (multiplicity 4)
Pt 0.000 0.000 0.000 (multiplicity 2)

The 10 most intense peaks (2θ = 10–80°), in order of rising 2θ:
30.5 deg, intensity 100, hkl 1 3 1
34.9 deg, intensity 80, hkl 3 0 1
35.0 deg, intensity 42, hkl 0 0 2
36.7 deg, intensity 35, hkl 2 4 0
46.9 deg, intensity 10, hkl 4 3 0
47.0 deg, intensity 28, hkl 2 3 2
51.6 deg, intensity 11, hkl 2 4 2
60.0 deg, intensity 10, hkl 1 3 3
62.7 deg, intensity 15, hkl 3 0 3
63.7 deg, intensity 10, hkl 5 4 1

***

# 11
Starting from DFT lattice parameters and positions (GGA-PBE), the powder XRD pattern of Y2TlPt was calculated for Cu Kα (weighted mean of Kα1 and Kα2).

Crystal structure
abc: 7.193 3.582 7.613
angles: 90.00 90.00 90.00
Space group Pmma (No. 51)
Symmetry-distinct sites (fractional):
Y 0.005 0.000 0.220 (multiplicity 4)
Tl 0.250 0.500 0.509 (multiplicity 2)
Pt 0.250 0.500 0.976 (multiplicity 2)

The 10 most intense peaks (2θ = 10–80°), in order of rising 2θ:
23.4 deg, intensity 9, hkl 0 0 2
24.8 deg, intensity 8, hkl 2 0 0
34.3 deg, intensity 100, hkl 2 0 2
35.4 deg, intensity 51, hkl 2 1 0
42.8 deg, intensity 8, hkl 2 1 2
50.8 deg, intensity 9, hkl 4 0 0
51.0 deg, intensity 9, hkl 0 2 0
60.8 deg, intensity 15, hkl 2 1 4
62.8 deg, intensity 17, hkl 4 1 2
62.9 deg, intensity 17, hkl 2 2 2

***

# 12
Starting from DFT lattice parameters and positions (GGA-PBE), the powder XRD pattern of Y6Tl3Pt was calculated for Cu Kα (weighted mean of Kα1 and Kα2).

Crystal structure
abc: 6.203 8.791 12.347
angles: 90.00 118.71 90.00
Space group P2_1/c (No. 14)
Symmetry-distinct sites (fractional):
Y 0.053 0.162 0.436 (multiplicity 4)
Y 0.333 0.693 0.432 (multiplicity 4)
Y 0.401 0.052 0.265 (multiplicity 4)
Tl 0.000 0.000 0.000 (multiplicity 2)
Tl 0.170 0.114 0.762 (multiplicity 4)
Pt 0.500 0.000 0.500 (multiplicity 2)

The 10 most intense peaks (2θ = 10–80°), in order of rising 2θ:
23.8 deg, intensity 67, hkl 1 1 1
24.3 deg, intensity 48, hkl 1 1 -3
30.1 deg, intensity 78, hkl 1 1 2
30.7 deg, intensity 36, hkl 1 1 -4
31.9 deg, intensity 41, hkl 2 1 -3
32.1 deg, intensity 42, hkl 0 2 3
33.1 deg, intensity 54, hkl 0 0 4
33.8 deg, intensity 100, hkl 1 3 -1
44.5 deg, intensity 37, hkl 0 4 2
47.8 deg, intensity 35, hkl 1 3 3

***

Please write out number 4 again, unchanged.
Starting from DFT lattice parameters and positions (GGA-PBE), the powder XRD pattern of Tl3Pt was calculated for Cu Kα (weighted mean of Kα1 and Kα2).

Crystal structure
abc: 6.3130 6.3130 6.7759
angles: 90.00 90.00 120.00
Space group P6_322 (No. 182)
Symmetry-distinct sites (fractional):
Tl 0.0000 0.3029 0.0000 (multiplicity 6)
Pt 0.3333 0.6667 0.2500 (multiplicity 2)

The 10 most intense peaks (2θ = 10–80°), in order of rising 2θ:
20.9 deg, intensity 30, hkl 1 0 1
26.3 deg, intensity 17, hkl 0 0 2
31.1 deg, intensity 11, hkl 1 0 2
31.3 deg, intensity 100, hkl 1 1 1
39.0 deg, intensity 51, hkl 1 1 2
45.9 deg, intensity 16, hkl 2 1 1
49.6 deg, intensity 28, hkl 1 1 3
50.1 deg, intensity 29, hkl 3 0 0
60.2 deg, intensity 12, hkl 2 2 1
76.8 deg, intensity 17, hkl 3 0 4